The following is a theoretical powder diffraction line list of BaSrLa4O8. It was derived from a structure optimized by DFT (PBE), using Cu Kα.

Top 12 peaks for 10° ≤ 2θ ≤ 90°, sorted by position:
- (0 4 0), 2θ = 28.25°, intensity 51
- (0 2 3), 2θ = 28.81°, intensity 100
- (1 2 1), 2θ = 29.30°, intensity 74
- (1 0 2), 2θ = 29.48°, intensity 41
- (1 3 1), 2θ = 33.40°, intensity 18
- (1 4 2), 2θ = 41.29°, intensity 41
- (1 0 4), 2θ = 41.82°, intensity 23
- (2 0 0), 2θ = 49.52°, intensity 18
- (0 6 3), 2θ = 50.36°, intensity 20
- (1 6 1), 2θ = 50.67°, intensity 18
- (1 4 4), 2θ = 51.24°, intensity 19
- (2 2 3), 2θ = 58.31°, intensity 28

Cell and atoms:
abc: 3.681 12.635 10.670
angles: 90.00 90.00 90.00
Space group Pmc2_1 (No. 26)
Inequivalent atoms, fractional coordinates:
Ba1 0.000 0.104 0.000 (multiplicity 2)
Sr1 0.500 0.391 0.505 (multiplicity 2)
La1 0.000 0.144 0.335 (multiplicity 2)
La2 0.000 0.366 0.820 (multiplicity 2)
La3 0.500 0.135 0.674 (multiplicity 2)
La4 0.500 0.368 0.165 (multiplicity 2)
O1 0.000 0.030 0.736 (multiplicity 2)
O2 0.000 0.266 0.613 (multiplicity 2)
O3 0.000 0.338 0.322 (multiplicity 2)
O4 0.000 0.435 0.030 (multiplicity 2)
O5 0.500 0.072 0.462 (multiplicity 2)
O6 0.500 0.178 0.183 (multiplicity 2)
O7 0.500 0.234 0.873 (multiplicity 2)
O8 0.500 0.455 0.737 (multiplicity 2)